[1]
Diffraction record for HoTa4S8. The XRD peak list is simulated, not measured: it uses DFT lattice parameters and positions (GGA-PBE) and Cu Kα (weighted mean of Kα1 and Kα2).
Intensities are scaled so that the largest is 100.

The 12 most intense peaks (10° ≤ 2θ ≤ 80°), in order of rising 2θ:
6.574 Å, rel. 88
3.285 Å, rel. 24
2.915 Å, rel. 33
2.824 Å, rel. 39
2.530 Å, rel. 100
2.362 Å, rel. 20
2.037 Å, rel. 15
1.891 Å, rel. 41
1.702 Å, rel. 30
1.647 Å, rel. 14
1.511 Å, rel. 14
1.412 Å, rel. 16

Structural model:
Cell lengths 7.6589, 7.6589, 7.6589 Å; angles 52.76, 52.76, 52.76 degrees
Fractional coordinates of all 13 atoms:
Ho  0.0000  0.0000  0.0000
Ta  0.0000  0.0000  0.5000
Ta  0.0000  0.5000  0.0000
Ta  0.5000  0.0000  0.0000
Ta  0.5000  0.5000  0.5000
S  0.2438  0.2438  0.2438
S  0.2546  0.7411  0.7411
S  0.2589  0.2589  0.7454
S  0.2589  0.7454  0.2589
S  0.7411  0.2546  0.7411
S  0.7411  0.7411  0.2546
S  0.7454  0.2589  0.2589
S  0.7562  0.7562  0.7562



[2]
Diffraction record for Mg6TiCo. The XRD peak list is simulated, not measured: it uses DFT lattice parameters and positions (GGA-PBE) and Cu Kα (weighted mean of Kα1 and Kα2).
Intensities are scaled so that the largest is 100.

The 12 most intense peaks (10° ≤ 2θ ≤ 80°), in order of rising 2θ:
5.460 Å, rel. 24
4.834 Å, rel. 13
2.577 Å, rel. 37
2.417 Å, rel. 44
2.377 Å, rel. 71
2.274 Å, rel. 100
1.763 Å, rel. 22
1.545 Å, rel. 18
1.388 Å, rel. 12
1.366 Å, rel. 21
1.302 Å, rel. 19
1.245 Å, rel. 16

Structural model:
Cell lengths 4.8335, 6.1936, 6.1936 Å; angles 56.33, 90.00, 90.00 degrees
Fractional coordinates of all 8 atoms:
Mg  0.0000  0.0000  0.0000
Mg  0.0000  0.0126  0.5046
Mg  0.0000  0.4851  0.4851
Mg  0.0000  0.5046  0.0126
Mg  0.5000  0.3480  0.8500
Mg  0.5000  0.8500  0.3480
Ti  0.5000  0.8494  0.8494
Co  0.5000  0.3416  0.3416



[3]
Diffraction record for FePW2. The XRD peak list is simulated, not measured: it uses DFT lattice parameters and positions (GGA-PBE) and Cu Kα (weighted mean of Kα1 and Kα2).
Intensities are scaled so that the largest is 100.

The 12 most intense peaks (10° ≤ 2θ ≤ 80°), in order of rising 2θ:
3.849 Å, rel. 28
2.724 Å, rel. 33
2.401 Å, rel. 42
2.173 Å, rel. 21
2.147 Å, rel. 30
2.091 Å, rel. 100
1.686 Å, rel. 17
1.527 Å, rel. 13
1.487 Å, rel. 13
1.232 Å, rel. 10
1.228 Å, rel. 18
1.222 Å, rel. 14

Structural model:
Cell lengths 5.0544, 5.0544, 5.0544 Å; angles 147.02, 129.73, 61.44 degrees
Fractional coordinates of all 4 atoms:
Fe  0.0000  0.0000  0.0000
P  0.1999  0.6999  0.5000
W  0.4361  0.4361  0.0000
W  0.7312  0.2312  0.5000